Diffraction record for Y4Mg3Ir. The powder diffractogram is calculated, not measured: it uses a crystal structure in Alexandria, relaxed with PBE and CuKα.
No peak broadening, texture or thermal motion is included.

Peak list (12 most intense, 2θ = 10–80°, most intense first)
hkl	2θ (°)	I_rel
1 0 4	33.69	100.0
1 1 0	35.22	49.7
0 0 2	11.21	39.8
2 1 4	62.23	32.9
0 0 3	16.86	20.7
2 0 0	50.66	17.4
1 1 8	59.24	13.6
1 0 5	37.90	12.9
1 0 7	47.58	12.4
1 0 1	25.35	12.1
1 0 6	42.55	11.7
1 1 3	39.29	10.1

Structure:
Lattice parameters (Å, degrees): 3.604 3.604 15.780 90.00 90.00 90.00
Space group P4/mmm (No. 123)
Symmetry-distinct sites (fractional):
1 Y 0.000 0.000 0.101
2 Y 0.000 0.000 0.371
3 Mg 0.500 0.500 0.240
4 Mg 0.500 0.500 0.500
5 Ir 0.500 0.500 0.000

Diffraction record for Fe4Si3. The powder diffractogram is calculated, not measured: it uses a crystal structure in Alexandria, relaxed with PBE and CuKα.
No peak broadening, texture or thermal motion is included.

Peak list (12 most intense, 2θ = 10–80°, most intense first)
hkl	2θ (°)	I_rel
1 0 7	46.95	100.0
1 1 0	42.14	74.2
2 0 0	61.12	22.8
1 0 3	33.26	16.5
0 0 4	20.19	7.1
0 0 14	75.68	4.6
1 0 5	39.22	3.4
1 1 4	47.15	3.1
0 0 2	10.06	3.0
1 1 8	60.28	2.8
2 1 3	71.39	2.7
0 0 8	41.04	2.4

Structure:
Lattice parameters (Å, degrees): 3.032 3.032 17.594 90.00 90.00 90.00
Space group I4/mmm (No. 139)
Symmetry-distinct sites (fractional):
1 Fe 0.000 0.000 0.069
2 Fe 0.000 0.000 0.349
3 Si 0.000 0.000 0.209
4 Si 0.000 0.000 0.500

Diffraction record for Y5Ni2Te2. The powder diffractogram is calculated, not measured: it uses a crystal structure in Alexandria, relaxed with PBE and CuKα.
No peak broadening, texture or thermal motion is included.

Peak list (12 most intense, 2θ = 10–80°, most intense first)
hkl	2θ (°)	I_rel
0 4 4	33.76	100.0
1 1 4	33.29	52.4
1 3 1	29.12	40.6
1 1 5	37.98	31.3
2 0 0	45.24	28.1
1 5 0	37.32	27.3
1 3 0	28.48	22.9
2 4 4	57.61	21.5
0 2 5	32.17	17.8
1 5 4	44.73	17.4
1 7 5	57.51	16.2
0 6 1	36.25	15.6

Structure:
Lattice parameters (Å, degrees): 4.009 15.076 14.969 90.00 90.00 90.00
Space group Cmcm (No. 63)
Symmetry-distinct sites (fractional):
1 Y 0.000 0.041 0.123
2 Y 0.000 0.258 0.627
3 Y 0.000 0.395 0.250
4 Ni 0.000 0.186 0.250
5 Ni 0.000 0.411 0.750
6 Te 0.000 0.385 0.040

Diffraction record for Ta4Pt2N. The powder diffractogram is calculated, not measured: it uses a crystal structure in Alexandria, relaxed with PBE and CuKα.
No peak broadening, texture or thermal motion is included.

Peak list (12 most intense, 2θ = 10–80°, most intense first)
hkl	2θ (°)	I_rel
2 1 1	39.36	100.0
2 3 0	36.74	54.5
1 4 0	38.25	47.6
1 3 1	41.83	47.5
3 1 0	38.37	36.5
0 2 1	34.13	35.4
1 2 1	36.38	29.0
3 2 0	41.58	29.0
1 4 2	73.26	25.3
0 4 1	46.86	24.3
0 0 2	59.79	22.5
5 2 1	74.87	22.3

Structure:
Lattice parameters (Å, degrees): 7.241 9.954 3.094 90.00 90.00 90.00
Space group Pbam (No. 55)
Symmetry-distinct sites (fractional):
1 Ta 0.140 0.193 0.000
2 Ta 0.180 0.924 0.500
3 Pt 0.057 0.629 0.500
4 N 0.000 0.000 0.000

Diffraction record for MgPb2. The powder diffractogram is calculated, not measured: it uses a crystal structure in Alexandria, relaxed with PBE and CuKα.
No peak broadening, texture or thermal motion is included.

Peak list (12 most intense, 2θ = 10–80°, most intense first)
hkl	2θ (°)	I_rel
5 1 1	33.35	100.0
3 3 1	27.86	78.3
4 2 2	31.39	58.6
6 6 0	55.89	52.5
4 4 0	36.41	34.6
5 5 5	57.14	24.7
7 3 3	53.75	22.3
9 3 3	66.66	21.5
2 2 2	22.06	14.1
6 2 0	40.89	13.5
6 2 2	42.98	10.9
3 1 1	21.11	9.2

Structure:
Lattice parameters (Å, degrees): 13.960 13.960 13.960 90.00 90.00 90.00
Space group Fd-3m (No. 227, origin choice 2)
Symmetry-distinct sites (fractional):
1 Mg 0.037 0.037 0.213
2 Pb 0.000 0.000 0.000
3 Pb 0.059 0.375 0.875

Diffraction record for YCo13. The powder diffractogram is calculated, not measured: it uses a crystal structure in Alexandria, relaxed with PBE and CuKα.
No peak broadening, texture or thermal motion is included.

Peak list (12 most intense, 2θ = 10–80°, most intense first)
hkl	2θ (°)	I_rel
5 3 1	48.11	100.0
4 2 2	39.45	71.1
4 2 0	35.89	34.4
6 0 0	48.83	31.0
2 0 0	15.84	15.9
7 5 3	77.76	14.6
6 2 0	51.66	14.4
4 4 4	57.02	9.9
6 4 0	59.58	9.5
6 4 4	69.24	9.0
6 4 2	62.07	8.7
8 0 0	66.90	7.1

Structure:
Lattice parameters (Å, degrees): 11.190 11.190 11.190 90.00 90.00 90.00
Space group Fm-3c (No. 226)
Symmetry-distinct sites (fractional):
1 Y 0.250 0.250 0.250
2 Co 0.000 0.000 0.000
3 Co 0.000 0.119 0.178

Repeat the fifth record exactly.
Diffraction record for MgPb2. The powder diffractogram is calculated, not measured: it uses a crystal structure in Alexandria, relaxed with PBE and CuKα.
No peak broadening, texture or thermal motion is included.

Peak list (12 most intense, 2θ = 10–80°, most intense first)
hkl	2θ (°)	I_rel
5 1 1	33.35	100.0
3 3 1	27.86	78.3
4 2 2	31.39	58.6
6 6 0	55.89	52.5
4 4 0	36.41	34.6
5 5 5	57.14	24.7
7 3 3	53.75	22.3
9 3 3	66.66	21.5
2 2 2	22.06	14.1
6 2 0	40.89	13.5
6 2 2	42.98	10.9
3 1 1	21.11	9.2

Structure:
Lattice parameters (Å, degrees): 13.960 13.960 13.960 90.00 90.00 90.00
Space group Fd-3m (No. 227, origin choice 2)
Symmetry-distinct sites (fractional):
1 Mg 0.037 0.037 0.213
2 Pb 0.000 0.000 0.000
3 Pb 0.059 0.375 0.875